Entry 1:
Starting from the PBE geometry in Alexandria, the powder diffractogram of La2HoSi3Pt12 was simulated for Cu Kα (weighted mean of Kα1 and Kα2).
Peak positions follow from Bragg's law for the DFT cell and can differ from measured ones.

Main lines, in order of rising 2θ (2θ = 10–90°):
| two_theta | d/Å | I_rel | h k l |
| --- | --- | --- | --- |
| 23.1 | 3.857 | 18 | 1 0 4 |
| 31.6 | 2.833 | 100 | 0 2 4 |
| 34.3 | 2.617 | 25 | 1 2 2 |
| 38.4 | 2.344 | 13 | 2 1 4 |
| 43.4 | 2.087 | 60 | 2 2 0 |
| 47.1 | 1.929 | 42 | 2 0 8 |
| 54.6 | 1.680 | 17 | 4 0 4 |
| 66.0 | 1.416 | 13 | 0 4 8 |
| 72.2 | 1.309 | 12 | 2 4 4 |
| 77.9 | 1.227 | 12 | 3 2 10 |

Crystal structure
```
data_La2HoSi3Pt12
_chemical_formula_sum 'La6 Ho3 Si9 Pt36'
_space_group_name_H-M_alt 'R -3 m'
_space_group_IT_number 166
_space_group_name_Hall '-R 3 2"'
_cell_length_a 8.3473
_cell_length_b 8.3473
_cell_length_c 18.2444
_cell_angle_alpha 90.00
_cell_angle_beta 90.00
_cell_angle_gamma 120.00
loop_
_atom_site_label
_atom_site_fract_x
_atom_site_fract_y
_atom_site_fract_z
La1 0.0000 0.0000 0.1017
Ho1 0.0000 0.0000 0.5000
Si1 0.0000 0.5000 0.0000
Pt1 0.0276 0.5138 0.8708
Pt2 0.0345 0.5173 0.3661
```


Entry 2:
Starting from the PBE geometry in Alexandria, the powder diffractogram of La7Ho4Pu was simulated for Cu Kα (weighted mean of Kα1 and Kα2).
Peak positions follow from Bragg's law for the DFT cell and can differ from measured ones.

Main lines, in order of rising 2θ (2θ = 10–90°):
| two_theta | d/Å | I_rel | h k l |
| --- | --- | --- | --- |
| 30.6 | 2.924 | 22 | 6 0 1 |
| 30.7 | 2.911 | 70 | 0 2 0 |
| 31.1 | 2.879 | 49 | 5 1 1 |
| 31.6 | 2.830 | 100 | 1 1 -2 |
| 32.5 | 2.756 | 16 | 7 1 0 |
| 33.1 | 2.708 | 72 | 7 1 -1 |
| 43.9 | 2.063 | 17 | 6 2 1 |
| 55.2 | 1.665 | 21 | 1 3 -2 |
| 56.1 | 1.639 | 16 | 7 3 -1 |
| 58.8 | 1.570 | 16 | 8 2 -3 |

Crystal structure
```
data_La7Ho4Pu
_chemical_formula_sum 'La14 Ho8 Pu2'
_space_group_name_H-M_alt 'C 1 2/m 1'
_space_group_IT_number 12
_cell_length_a 22.3522
_cell_length_b 5.8228
_cell_length_c 6.4864
_cell_angle_alpha 90.00
_cell_angle_beta 101.49
_cell_angle_gamma 90.00
loop_
_space_group_symop_operation_xyz
'x,y,z'
'-x,-y,-z'
'-x,y,-z'
'x,-y,z'
'x+1/2,y+1/2,z'
'-x+1/2,-y+1/2,-z'
'-x+1/2,y+1/2,-z'
'x+1/2,-y+1/2,z'
loop_
_atom_site_label
_atom_site_fract_x
_atom_site_fract_y
_atom_site_fract_z
La1 0.0000 0.0000 0.0000
La2 0.0465 0.5000 0.3035
La3 0.1329 0.0000 0.4927
La4 0.2088 0.0000 0.0653
Ho1 0.1160 0.5000 0.8383
Ho2 0.2084 0.5000 0.3916
Pu1 0.0000 0.0000 0.5000
```


Entry 3:
Starting from the PBE geometry in Alexandria, the powder diffractogram of La2HoPuSb4 was simulated for Cu Kα (weighted mean of Kα1 and Kα2).
Peak positions follow from Bragg's law for the DFT cell and can differ from measured ones.

Main lines, in order of rising 2θ (2θ = 10–90°):
| two_theta | d/Å | I_rel | h k l |
| --- | --- | --- | --- |
| 28.0 | 3.191 | 100 | 1 1 1 |
| 39.9 | 2.259 | 39 | 0 2 0 |
| 40.0 | 2.255 | 38 | 2 0 2 |
| 49.4 | 1.844 | 21 | 0 0 4 |
| 49.6 | 1.839 | 7 | 4 0 0 |
| 57.8 | 1.596 | 13 | 2 2 2 |
| 65.3 | 1.429 | 12 | 1 3 1 |
| 65.4 | 1.426 | 23 | 3 1 -5 |
| 72.4 | 1.305 | 9 | 1 3 -3 |
| 72.6 | 1.303 | 11 | 2 0 -6 |

Crystal structure
```
data_La2HoPuSb4
_chemical_formula_sum 'La2 Ho1 Pu1 Sb4'
_space_group_name_H-M_alt 'P 1 2/m 1'
_space_group_IT_number 10
_cell_length_a 7.8040
_cell_length_b 4.5234
_cell_length_c 7.8134
_cell_angle_alpha 90.00
_cell_angle_beta 109.49
_cell_angle_gamma 90.00
loop_
_space_group_symop_operation_xyz
'x,y,z'
'-x,-y,-z'
'-x,y,-z'
'x,-y,z'
loop_
_atom_site_label
_atom_site_fract_x
_atom_site_fract_y
_atom_site_fract_z
La1 0.0000 0.0000 0.0000
La2 0.0000 0.5000 0.5000
Ho1 0.5000 0.0000 0.5000
Pu1 0.5000 0.5000 0.0000
Sb1 0.2637 0.0000 0.7534
Sb2 0.2640 0.5000 0.2558
```


Entry 4:
Starting from the PBE geometry in Alexandria, the powder diffractogram of La3Ho3PuSe8 was simulated for Cu Kα (weighted mean of Kα1 and Kα2).
Peak positions follow from Bragg's law for the DFT cell and can differ from measured ones.

Main lines, in order of rising 2θ (2θ = 10–90°):
| two_theta | d/Å | I_rel | h k l |
| --- | --- | --- | --- |
| 12.8 | 6.923 | 10 | 0 0 3 |
| 26.3 | 3.389 | 11 | 2 0 2 |
| 30.3 | 2.950 | 100 | 0 2 4 |
| 43.0 | 2.103 | 38 | 2 0 8 |
| 43.7 | 2.070 | 36 | 2 2 0 |
| 54.1 | 1.694 | 19 | 4 0 4 |
| 63.0 | 1.475 | 12 | 0 4 8 |
| 71.0 | 1.328 | 17 | 2 2 12 |
| 72.0 | 1.311 | 16 | 2 4 4 |
| 79.9 | 1.201 | 12 | 4 2 8 |

Crystal structure
```
data_La3Ho3PuSe8
_chemical_formula_sum 'La9 Ho9 Pu3 Se24'
_space_group_name_H-M_alt 'R -3 m'
_space_group_IT_number 166
_space_group_name_Hall '-R 3 2"'
_cell_length_a 8.2787
_cell_length_b 8.2787
_cell_length_c 20.7689
_cell_angle_alpha 90.00
_cell_angle_beta 90.00
_cell_angle_gamma 120.00
loop_
_atom_site_label
_atom_site_fract_x
_atom_site_fract_y
_atom_site_fract_z
La1 0.0000 0.5000 0.0000
Ho1 0.0000 0.5000 0.5000
Pu1 0.0000 0.0000 0.5000
Se1 0.0000 0.0000 0.2436
Se2 0.0107 0.5053 0.7539
```


Entry 5:
Starting from the PBE geometry in Alexandria, the powder diffractogram of La2HoPuSe4 was simulated for Cu Kα (weighted mean of Kα1 and Kα2).
Peak positions follow from Bragg's law for the DFT cell and can differ from measured ones.

Main lines, in order of rising 2θ (2θ = 10–90°):
| two_theta | d/Å | I_rel | h k l |
| --- | --- | --- | --- |
| 26.0 | 3.421 | 12 | 1 1 -1 |
| 30.0 | 2.975 | 100 | 1 1 1 |
| 42.7 | 2.116 | 13 | 2 0 2 |
| 42.9 | 2.110 | 25 | 1 1 -3 |
| 43.1 | 2.097 | 25 | 3 1 -1 |
| 43.3 | 2.091 | 12 | 0 2 0 |
| 53.6 | 1.711 | 13 | 2 2 -2 |
| 62.4 | 1.487 | 12 | 2 2 2 |
| 70.6 | 1.334 | 11 | 0 2 4 |
| 71.0 | 1.327 | 11 | 4 2 0 |

Crystal structure
```
data_La2HoPuSe4
_chemical_formula_sum 'La2 Ho1 Pu1 Se4'
_space_group_name_H-M_alt 'P 1 2/m 1'
_space_group_IT_number 10
_cell_length_a 7.2705
_cell_length_b 4.1825
_cell_length_c 7.3314
_cell_angle_alpha 90.00
_cell_angle_beta 109.13
_cell_angle_gamma 90.00
loop_
_space_group_symop_operation_xyz
'x,y,z'
'-x,-y,-z'
'-x,y,-z'
'x,-y,z'
loop_
_atom_site_label
_atom_site_fract_x
_atom_site_fract_y
_atom_site_fract_z
La1 0.0000 0.0000 0.0000
La2 0.5000 0.5000 0.0000
Ho1 0.0000 0.5000 0.5000
Pu1 0.5000 0.0000 0.5000
Se1 0.2404 0.0000 0.7324
Se2 0.2517 0.5000 0.2652
```


Entry 6:
Starting from the PBE geometry in Alexandria, the powder diffractogram of La3Y6Ho2Pu was simulated for Cu Kα (weighted mean of Kα1 and Kα2).
Peak positions follow from Bragg's law for the DFT cell and can differ from measured ones.

Main lines, in order of rising 2θ (2θ = 10–90°):
| two_theta | d/Å | I_rel | h k l |
| --- | --- | --- | --- |
| 15.2 | 5.825 | 13 | 0 0 2 |
| 30.5 | 2.934 | 100 | 1 3 1 |
| 30.7 | 2.912 | 32 | 0 0 4 |
| 35.4 | 2.536 | 67 | 2 0 2 |
| 50.8 | 1.798 | 24 | 0 6 0 |
| 51.1 | 1.788 | 23 | 1 3 5 |
| 60.4 | 1.533 | 14 | 4 0 0 |
| 60.5 | 1.530 | 28 | 3 3 3 |
| 60.8 | 1.524 | 13 | 2 0 6 |
| 63.4 | 1.467 | 12 | 2 6 2 |

Crystal structure
```
data_La3Y6Ho2Pu
_chemical_formula_sum 'La6 Y12 Ho4 Pu2'
_space_group_name_H-M_alt 'C 1 2/m 1'
_space_group_IT_number 12
_cell_length_a 6.2270
_cell_length_b 10.7912
_cell_length_c 11.8341
_cell_angle_alpha 90.00
_cell_angle_beta 100.12
_cell_angle_gamma 90.00
loop_
_space_group_symop_operation_xyz
'x,y,z'
'-x,-y,-z'
'-x,y,-z'
'x,-y,z'
'x+1/2,y+1/2,z'
'-x+1/2,-y+1/2,-z'
'-x+1/2,y+1/2,-z'
'x+1/2,-y+1/2,z'
loop_
_atom_site_label
_atom_site_fract_x
_atom_site_fract_y
_atom_site_fract_z
La1 0.0000 0.0000 0.0000
La2 0.0000 0.3328 0.0000
Y1 0.2455 0.3354 0.7426
Y2 0.2484 0.5000 0.2573
Ho1 0.0000 0.1666 0.5000
Pu1 0.0000 0.5000 0.5000
```